Simulated powder diffraction line list
Compound: KRe6Se5Cl7O3
Radiation: copper Kα
Structure: DFT lattice parameters and positions (GGA-PBE)

Peak list (10 most intense, 2θ from 10° to 90°, sorted by position)
d_spacing	two_theta	intensity	index
8.117	10.9	100	0 0 1
7.965	11.1	76	0 1 0
7.779	11.4	64	1 0 0
7.602	11.6	61	1 1 1
6.869	12.9	99	1 1 0
6.684	13.2	41	0 1 1
2.296	39.2	11	3 -1 1
2.111	42.8	19	0 1 4
2.045	44.3	10	4 2 0
2.022	44.8	13	0 4 2

Cell and atoms:
a = 9.403 Å, b = 9.445 Å, c = 9.593 Å
α = 63.83°, β = 61.70°, γ = 61.35°
Space group P1 (No. 1)
One atom of each set of equivalent atoms:
K1 0.000 0.000 0.000
Re1 0.328 0.418 0.603
Re2 0.417 0.658 0.554
Re3 0.465 0.593 0.302
Re4 0.592 0.354 0.663
Re5 0.657 0.259 0.412
Re6 0.725 0.533 0.370
Se1 0.158 0.715 0.491
Se2 0.499 0.117 0.688
Se3 0.668 0.595 0.627
Se4 0.763 0.518 0.089
Se5 0.903 0.229 0.466
Cl1 0.071 0.349 0.762
Cl2 0.263 0.906 0.647
Cl3 0.375 0.775 0.068
Cl4 0.384 0.359 0.335
Cl5 0.648 0.185 0.916
Cl6 0.775 0.986 0.372
Cl7 0.963 0.630 0.226
O1 0.327 0.484 0.778
O2 0.536 0.769 0.306
O3 0.793 0.295 0.168


Simulated powder diffraction line list
Compound: La5Sm2DyTm
Radiation: copper Kα
Structure: DFT lattice parameters and positions (GGA-PBE)

Peak list (10 most intense, 2θ from 10° to 90°, sorted by position)
d_spacing	two_theta	intensity	index
3.201	27.9	38	2 1 3
3.094	28.9	100	2 0 4
2.975	30.0	46	2 2 0
2.554	35.1	11	3 1 2
2.466	36.4	15	2 0 6
2.283	39.5	16	0 0 8
2.050	44.2	12	4 0 2
1.811	50.4	16	2 2 8
1.739	52.6	35	4 2 4
1.379	68.0	12	4 0 10

Cell and atoms:
a = 8.414 Å, b = 8.414 Å, c = 18.262 Å
α = 90.00°, β = 90.00°, γ = 90.00°
Space group I4/mcm (No. 140)
One atom of each set of equivalent atoms:
La1 0.000 0.000 0.000
La2 0.220 0.280 0.141
Sm1 0.126 0.374 0.500
Dy1 0.000 0.000 0.250
Tm1 0.000 0.500 0.250


Simulated powder diffraction line list
Compound: SbCl6
Radiation: copper Kα
Structure: DFT lattice parameters and positions (GGA-PBE)

Peak list (10 most intense, 2θ from 10° to 90°, sorted by position)
d_spacing	two_theta	intensity	index
5.973	14.8	28	1 0 1
5.764	15.4	100	2 1 0
5.711	15.5	35	0 2 0
5.293	16.7	40	1 1 1
4.721	18.8	13	2 0 1
4.128	21.5	21	1 2 1
2.964	30.2	29	2 3 1
2.655	33.8	19	3 3 1
2.185	41.3	12	3 3 2
1.922	47.3	20	0 3 3

Cell and atoms:
a = 13.350 Å, b = 11.422 Å, c = 6.679 Å
α = 90.00°, β = 90.00°, γ = 90.00°
Space group Pnma (No. 62)
One atom of each set of equivalent atoms:
Sb1 0.129 0.250 0.092
Cl1 0.008 0.250 0.826
Cl2 0.036 0.101 0.263
Cl3 0.224 0.101 0.921
Cl4 0.249 0.750 0.857


Simulated powder diffraction line list
Compound: GaS6I2
Radiation: copper Kα
Structure: DFT lattice parameters and positions (GGA-PBE)

Peak list (10 most intense, 2θ from 10° to 90°, sorted by position)
d_spacing	two_theta	intensity	index
7.216	12.3	23	0 1 0
6.907	12.8	100	0 1 1
4.377	20.3	40	1 1 0
3.658	24.3	45	0 0 2
3.608	24.7	33	0 2 0
3.452	25.8	65	0 2 2
3.044	29.3	22	1 2 0
2.999	29.8	18	-1 1 2
2.638	34.0	32	2 0 1
2.030	44.6	18	1 2 4

Cell and atoms:
a = 5.443 Å, b = 8.117 Å, c = 8.306 Å
α = 62.81°, β = 79.91°, γ = 83.59°
Space group P-1 (No. 2)
One atom of each set of equivalent atoms:
Ga1 0.000 0.000 0.000
S1 0.144 0.861 0.751
S2 0.152 0.272 0.795
S3 0.482 0.766 0.774
I1 0.351 0.751 0.250


Simulated powder diffraction line list
Compound: U2Pa2Se5
Radiation: copper Kα
Structure: DFT lattice parameters and positions (GGA-PBE)

Peak list (10 most intense, 2θ from 10° to 90°, sorted by position)
d_spacing	two_theta	intensity	index
8.300	10.7	19	0 0 2
3.457	25.8	17	0 1 1
3.252	27.4	27	0 1 2
2.979	30.0	100	1 0 3
2.691	33.3	46	1 0 4
2.040	44.4	49	1 1 0
1.969	46.1	40	0 1 7
1.683	54.5	19	0 2 3
1.299	72.8	17	2 1 3
1.288	73.5	23	1 1 10

Cell and atoms:
a = 4.0810 Å, b = 4.0810 Å, c = 16.5999 Å
α = 90.00°, β = 90.00°, γ = 120.00°
Space group P-3m1 (No. 164)
One atom of each set of equivalent atoms:
U1 0.3333 0.6667 0.3999
Pa1 0.0000 0.0000 0.2051
Se1 0.0000 0.0000 0.5000
Se2 0.3333 0.6667 0.1082
Se3 0.3333 0.6667 0.6962


Simulated powder diffraction line list
Compound: Nd6HoSc2
Radiation: copper Kα
Structure: DFT lattice parameters and positions (GGA-PBE)

Peak list (10 most intense, 2θ from 10° to 90°, sorted by position)
d_spacing	two_theta	intensity	index
3.336	26.7	13	0 2 1
3.026	29.5	46	3 1 0
2.913	30.7	100	0 6 0
2.702	33.2	40	2 2 1
2.383	37.8	25	2 4 1
2.309	39.0	23	3 5 0
2.171	41.6	22	3 3 1
1.580	58.4	20	5 3 1
1.550	59.7	12	3 1 2
1.535	60.3	18	0 6 2

Cell and atoms:
a = 9.218 Å, b = 17.491 Å, c = 3.609 Å
α = 90.00°, β = 90.00°, γ = 90.00°
Space group Cmmm (No. 65)
One atom of each set of equivalent atoms:
Nd1 0.178 0.167 0.000
Nd2 0.182 0.000 0.500
Ho1 0.000 0.500 0.000
Sc1 0.000 0.324 0.500


Simulated powder diffraction line list
Compound: Os7Ru
Radiation: copper Kα
Structure: DFT lattice parameters and positions (GGA-PBE)

Peak list (10 most intense, 2θ from 10° to 90°, sorted by position)
d_spacing	two_theta	intensity	index
4.450	20.0	2	1 1 1
3.854	23.1	1	2 0 0
2.725	32.9	1	2 2 0
2.324	38.7	1	3 1 1
2.225	40.5	100	2 2 2
1.927	47.2	49	4 0 0
1.768	51.7	1	3 3 1
1.363	68.9	32	4 4 0
1.162	83.1	39	6 2 2
1.112	87.7	12	4 4 4

Cell and atoms:
a = 7.708 Å, b = 7.708 Å, c = 7.708 Å
α = 90.00°, β = 90.00°, γ = 90.00°
Space group Fm-3m (No. 225)
One atom of each set of equivalent atoms:
Os1 0.000 0.000 0.000
Os2 0.000 0.250 0.250
Ru1 0.000 0.000 0.500


Simulated powder diffraction line list
Compound: Pt2Rh
Radiation: copper Kα
Structure: DFT lattice parameters and positions (GGA-PBE)

Peak list (10 most intense, 2θ from 10° to 90°, sorted by position)
d_spacing	two_theta	intensity	index
2.719	32.9	45	1 0 1
2.401	37.5	97	1 0 5
2.174	41.5	100	1 0 7
2.089	43.3	43	0 0 12
1.911	47.6	62	1 1 2
1.755	52.1	35	1 1 6
1.314	71.9	32	1 1 14
1.188	80.9	37	1 0 19
1.158	83.5	27	2 1 7
1.144	84.7	25	2 0 12

Cell and atoms:
a = 2.735 Å, b = 2.735 Å, c = 25.067 Å
α = 90.00°, β = 90.00°, γ = 90.00°
Space group I4_1/amd (No. 141, origin choice 2)
One atom of each set of equivalent atoms:
Pt1 0.000 0.250 0.297
Rh1 0.000 0.250 0.875


Simulated powder diffraction line list
Compound: CaAc8La4
Radiation: copper Kα
Structure: DFT lattice parameters and positions (GGA-PBE)

Peak list (10 most intense, 2θ from 10° to 90°, sorted by position)
d_spacing	two_theta	intensity	index
4.855	18.3	17	-1 1 1
4.243	20.9	38	0 2 0
4.171	21.3	19	2 0 0
3.010	29.7	34	0 2 2
2.991	29.9	100	2 2 0
2.958	30.2	64	2 -2 0
2.122	42.6	24	0 4 0
1.741	52.6	14	2 4 2
1.727	53.0	19	4 2 2
1.721	53.2	25	2 -4 2

Cell and atoms:
a = 8.343 Å, b = 8.487 Å, c = 8.487 Å
α = 89.62°, β = 89.30°, γ = 89.41°
Space group P-1 (No. 2)
One atom of each set of equivalent atoms:
Ca1 0.000 0.000 0.000
Ac1 0.255 0.261 0.262
Ac2 0.258 0.261 0.733
Ac3 0.259 0.732 0.259
Ac4 0.264 0.740 0.737
La1 0.000 0.000 0.500
La2 0.000 0.500 0.000
La3 0.500 0.000 0.000
La4 0.500 0.500 0.500


Simulated powder diffraction line list
Compound: Fe4Si23
Radiation: copper Kα
Structure: DFT lattice parameters and positions (GGA-PBE)

Peak list (10 most intense, 2θ from 10° to 90°, sorted by position)
d_spacing	two_theta	intensity	index
2.921	30.6	29	2 2 2
2.807	31.9	39	3 2 0
2.705	33.1	100	3 2 1
2.530	35.5	15	4 0 0
2.454	36.6	12	4 1 0
1.736	52.7	28	5 3 0
1.711	53.6	10	5 3 1
1.687	54.4	19	6 0 0
1.642	56.0	39	5 3 2
1.091	89.9	9	6 5 5

Cell and atoms:
a = 10.120 Å, b = 10.120 Å, c = 10.120 Å
α = 90.00°, β = 90.00°, γ = 90.00°
Space group Pm-3n (No. 223)
One atom of each set of equivalent atoms:
Fe1 0.000 0.000 0.000
Fe2 0.000 0.250 0.500
Si1 0.000 0.310 0.116
Si2 0.000 0.500 0.250
Si3 0.183 0.183 0.183